Entry 1:
Simulated PXRD pattern of Ba4IN12 for a wavelength of 1.5418 Å, from a GGA-PBE-relaxed structure.
No peak broadening, texture or thermal motion is included.

Peak list (10 most intense, 10° ≤ 2θ ≤ 90°, in order of rising 2θ)
2θ = 20.1°, rel. 275
2θ = 24.6°, rel. 124
2θ = 28.5°, rel. 1000
2θ = 35.1°, rel. 170
2θ = 40.8°, rel. 189
2θ = 45.8°, rel. 226
2θ = 50.5°, rel. 357
2θ = 59.0°, rel. 112
2θ = 66.8°, rel. 185
2θ = 81.3°, rel. 213

```
Ba4IN12
1.0
-4.4273 4.4273 4.4273
4.4273 -4.4273 4.4273
4.4273 4.4273 -4.4273
Ba I N
4 1 12
Cartesian
2.2137 2.2137 -2.2137
2.2137 -2.2137 2.2137
-2.2137 2.2137 2.2137
2.2137 2.2137 2.2137
0.0000 0.0000 0.0000
3.8361 1.3516 0.0000
5.0185 1.3516 0.0000
4.4273 -0.5912 3.0757
4.4273 0.5912 3.0757
3.0757 4.4273 -0.5912
1.3516 0.0000 3.8361
3.0757 4.4273 0.5912
1.3516 0.0000 5.0185
0.0000 3.8361 1.3516
0.0000 5.0185 1.3516
-0.5912 3.0757 4.4273
0.5912 3.0757 4.4273
```

***

Entry 2:
Simulated PXRD pattern of NdThMgSc for a wavelength of 1.5418 Å, from a GGA-PBE-relaxed structure.
No peak broadening, texture or thermal motion is included.

Peak list (10 most intense, 10° ≤ 2θ ≤ 90°, in order of rising 2θ)
2θ = 10.0°, rel. 715
2θ = 26.8°, rel. 508
2θ = 30.3°, rel. 131
2θ = 32.1°, rel. 1000
2θ = 35.3°, rel. 401
2θ = 36.8°, rel. 145
2θ = 47.2°, rel. 159
2θ = 50.8°, rel. 143
2θ = 55.1°, rel. 203
2θ = 61.4°, rel. 312

```
NdThMgSc
1.0
3.5953 0.0000 0.0000
0.0000 3.5953 0.0000
0.0000 0.0000 8.8397
Nd Th Mg Sc
1 1 1 1
Cartesian
0.0000 0.0000 0.0000
1.7977 1.7977 6.3859
1.7977 1.7977 2.3474
0.0000 0.0000 4.2150
```

***

Entry 3:
Simulated PXRD pattern of Na2PuSiO6 for a wavelength of 1.5418 Å, from a GGA-PBE-relaxed structure.
No peak broadening, texture or thermal motion is included.

Peak list (10 most intense, 10° ≤ 2θ ≤ 90°, in order of rising 2θ)
2θ = 16.6°, rel. 1000
2θ = 20.6°, rel. 518
2θ = 23.6°, rel. 767
2θ = 26.6°, rel. 711
2θ = 31.5°, rel. 901
2θ = 33.6°, rel. 394
2θ = 37.7°, rel. 336
2θ = 43.3°, rel. 474
2θ = 48.2°, rel. 288
2θ = 58.7°, rel. 317

```
Na2PuSiO6
1.0
5.3400 0.0000 0.0000
0.0000 5.3400 0.0000
0.0000 0.0000 4.3050
Na Pu Si O
2 1 1 6
Cartesian
0.0000 2.6700 0.0000
2.6700 0.0000 0.0000
0.0000 0.0000 2.3353
2.6700 2.6700 1.9972
0.0000 0.0000 0.2014
1.4415 1.4415 2.3896
1.4415 3.8985 2.3896
2.6700 2.6700 0.3715
3.8985 1.4415 2.3896
3.8985 3.8985 2.3896
```

***

Entry 4:
Simulated PXRD pattern of BiTe2O5 for a wavelength of 1.5418 Å, from a GGA-PBE-relaxed structure.
No peak broadening, texture or thermal motion is included.

Peak list (10 most intense, 10° ≤ 2θ ≤ 90°, in order of rising 2θ)
2θ = 18.8°, rel. 420
2θ = 23.7°, rel. 408
2θ = 24.1°, rel. 356
2θ = 27.7°, rel. 481
2θ = 28.0°, rel. 1000
2θ = 28.2°, rel. 400
2θ = 29.1°, rel. 218
2θ = 30.2°, rel. 399
2θ = 38.1°, rel. 247
2θ = 42.1°, rel. 220

```
BiTe2O5
1.0
7.3986 0.0000 0.0000
0.0000 10.7158 0.0000
0.0000 0.0000 7.4893
Bi Te O
4 8 20
Cartesian
0.0000 0.6258 1.8723
0.0000 10.0900 5.6170
3.6993 4.7321 5.6170
3.6993 5.9837 1.8723
0.6749 3.7777 0.1500
0.6749 6.9381 3.8947
3.0244 1.5802 3.8947
3.0244 9.1356 0.1500
4.3742 1.5802 7.3393
4.3742 9.1356 3.5946
6.7237 3.7777 3.5946
6.7237 6.9381 7.3393
0.0000 4.6733 1.8723
0.0000 6.0425 5.6170
1.2904 0.7735 3.8470
1.2904 9.9423 0.1023
1.3338 2.2794 1.2030
1.3338 8.4364 4.9476
2.3655 3.0785 4.9476
2.3655 7.6373 1.2030
2.4089 4.5844 0.1023
2.4089 6.1314 3.8470
3.6993 0.6846 5.6170
3.6993 10.0312 1.8723
4.9897 4.5844 3.6423
4.9897 6.1314 7.3870
5.0331 3.0785 6.2864
5.0331 7.6373 2.5417
6.0648 2.2794 2.5417
6.0648 8.4364 6.2864
6.1082 0.7735 7.3870
6.1082 9.9423 3.6423
```

***

Entry 5:
Simulated PXRD pattern of Mn2GaSe2 for a wavelength of 1.5418 Å, from a GGA-PBE-relaxed structure.
No peak broadening, texture or thermal motion is included.

Peak list (10 most intense, 10° ≤ 2θ ≤ 90°, in order of rising 2θ)
2θ = 15.1°, rel. 418
2θ = 23.7°, rel. 676
2θ = 29.5°, rel. 503
2θ = 31.2°, rel. 592
2θ = 35.0°, rel. 723
2θ = 39.1°, rel. 368
2θ = 43.9°, rel. 1000
2θ = 44.3°, rel. 936
2θ = 46.5°, rel. 299
2θ = 47.2°, rel. 461

```
Mn2GaSe2
1.0
6.0609 0.0000 0.0000
0.0000 5.7024 0.0000
-1.9805 0.0000 5.8553
Mn Ga Se
4 2 4
Cartesian
0.0000 1.3970 0.0000
0.0000 4.3055 0.0000
3.0305 1.4542 0.0000
3.0305 4.2482 0.0000
-0.9119 2.8512 4.0609
2.1186 0.0000 4.0609
1.6033 0.0000 1.4680
1.6218 2.8512 3.8555
4.6338 2.8512 1.4680
4.6522 0.0000 3.8555
```

***

Entry 6:
Simulated PXRD pattern of Re5Rh for a wavelength of 1.5418 Å, from a GGA-PBE-relaxed structure.
No peak broadening, texture or thermal motion is included.

Peak list (10 most intense, 10° ≤ 2θ ≤ 90°, in order of rising 2θ)
2θ = 37.3°, rel. 119
2θ = 37.4°, rel. 253
2θ = 40.7°, rel. 386
2θ = 42.7°, rel. 517
2θ = 42.8°, rel. 1000
2θ = 56.4°, rel. 229
2θ = 67.3°, rel. 176
2θ = 75.5°, rel. 287
2θ = 81.7°, rel. 208
2θ = 83.3°, rel. 154

```
Re5Rh
1.0
4.4351 0.0000 0.0000
0.0000 2.7740 0.0000
0.0000 0.0000 14.4655
Re Rh
10 2
Cartesian
0.0000 0.0000 0.0000
0.0000 0.0000 4.8088
0.0000 0.0000 9.6358
0.0000 1.3870 2.4030
0.0000 1.3870 7.2328
0.0000 1.3870 12.0416
2.2176 0.0000 1.5901
2.2176 0.0000 6.3945
2.2176 1.3870 8.8228
2.2176 1.3870 13.6273
2.2176 0.0000 11.2661
2.2176 1.3870 4.0333
```

***

Entry 7:
Simulated PXRD pattern of U2Pa5Se12 for a wavelength of 1.5418 Å, from a GGA-PBE-relaxed structure.
No peak broadening, texture or thermal motion is included.

Peak list (10 most intense, 10° ≤ 2θ ≤ 90°, in order of rising 2θ)
2θ = 21.0°, rel. 867
2θ = 23.3°, rel. 909
2θ = 25.7°, rel. 445
2θ = 32.3°, rel. 585
2θ = 32.5°, rel. 455
2θ = 34.3°, rel. 1000
2θ = 36.1°, rel. 473
2θ = 39.9°, rel. 696
2θ = 41.7°, rel. 589
2θ = 42.9°, rel. 830

```
U2Pa5Se12
1.0
8.1207 -3.5738 0.0000
8.1207 3.5738 0.0000
-2.3180 0.0000 8.7463
U Pa Se
2 5 12
Cartesian
8.1207 2.3505 0.0000
8.1207 -2.3505 0.0000
0.8910 0.0000 7.3600
2.2666 0.0000 3.0141
6.9617 0.0000 4.3732
11.6568 0.0000 5.7323
13.0324 0.0000 1.3863
-0.5855 0.0000 2.5797
3.1745 1.7418 7.8894
4.5983 1.7118 3.7234
9.3251 1.7118 5.0230
10.7489 1.7418 0.8569
7.5430 0.0000 1.6674
6.3804 0.0000 7.0789
3.1745 -1.7418 7.8894
4.5983 -1.7118 3.7234
9.3251 -1.7118 5.0230
10.7489 -1.7418 0.8569
14.5089 0.0000 6.1666
```

***

Entry 8:
Simulated PXRD pattern of Pm4YTl for a wavelength of 1.5418 Å, from a GGA-PBE-relaxed structure.
No peak broadening, texture or thermal motion is included.

Peak list (10 most intense, 10° ≤ 2θ ≤ 90°, in order of rising 2θ)
2θ = 30.4°, rel. 606
2θ = 32.2°, rel. 1000
2θ = 43.6°, rel. 227
2θ = 55.2°, rel. 434
2θ = 58.5°, rel. 159
2θ = 63.3°, rel. 75
2θ = 67.3°, rel. 104
2θ = 71.9°, rel. 103
2θ = 72.8°, rel. 95
2θ = 88.9°, rel. 117

```
Pm4YTl
1.0
4.1539 0.0000 0.0000
0.0000 4.1539 0.0000
0.0000 0.0000 11.2349
Pm Y Tl
4 1 1
Cartesian
0.0000 0.0000 1.6517
0.0000 0.0000 9.5831
2.0769 2.0769 3.7345
2.0769 2.0769 7.5003
0.0000 0.0000 5.6174
2.0769 2.0769 0.0000
```

***

Entry 9:
Simulated PXRD pattern of Pr2SmY2Tm for a wavelength of 1.5418 Å, from a GGA-PBE-relaxed structure.
No peak broadening, texture or thermal motion is included.

Peak list (10 most intense, 10° ≤ 2θ ≤ 90°, in order of rising 2θ)
2θ = 31.0°, rel. 1000
2θ = 31.4°, rel. 981
2θ = 44.7°, rel. 365
2θ = 55.6°, rel. 382
2θ = 55.9°, rel. 190
2θ = 61.5°, rel. 283
2θ = 65.5°, rel. 117
2θ = 74.2°, rel. 107
2θ = 79.3°, rel. 135
2θ = 87.8°, rel. 108

```
Pr2SmY2Tm
1.0
7.1098 0.0000 0.0000
0.0000 9.8823 0.0000
0.0000 0.0000 5.6954
Pr Sm Y Tm
4 2 4 2
Cartesian
1.7599 1.6462 0.0000
1.7950 6.5873 2.8477
5.3148 3.2950 2.8477
5.3499 8.2362 0.0000
0.0000 4.9412 0.0000
3.5549 0.0000 2.8477
1.7749 3.2906 2.8477
1.7800 8.2318 0.0000
5.3298 1.6505 0.0000
5.3348 6.5917 2.8477
0.0000 0.0000 2.8477
3.5549 4.9412 0.0000
```

***

Entry 10:
Simulated PXRD pattern of Ni16GeP5 for a wavelength of 1.5418 Å, from a GGA-PBE-relaxed structure.
No peak broadening, texture or thermal motion is included.

Peak list (10 most intense, 10° ≤ 2θ ≤ 90°, in order of rising 2θ)
2θ = 40.5°, rel. 288
2θ = 42.1°, rel. 236
2θ = 42.2°, rel. 244
2θ = 42.5°, rel. 248
2θ = 43.1°, rel. 409
2θ = 46.0°, rel. 547
2θ = 46.6°, rel. 392
2θ = 47.5°, rel. 521
2θ = 47.6°, rel. 1000
2θ = 48.0°, rel. 472

```
Ni16GeP5
1.0
6.5976 0.0000 0.0000
-3.2754 5.8457 0.0000
-1.4699 -2.0145 6.2906
Ni Ge P
16 1 5
Cartesian
-0.8094 0.8236 1.0368
-1.5611 -0.4298 5.0336
-1.5023 2.8506 2.5308
0.4523 -1.1608 3.7836
-1.4181 2.1212 5.0338
-0.6564 5.0813 0.9343
1.2608 0.7964 2.4681
0.8525 2.9072 1.0247
0.9997 0.9240 5.2659
0.5914 3.0349 3.8225
2.5086 -1.2501 5.3562
3.2703 1.7100 1.2568
1.4000 4.9920 2.5070
3.3546 0.9806 3.7598
3.4134 4.2610 1.2570
2.6617 3.0076 5.2538
-1.6377 2.9229 0.0000
-0.7425 0.8827 3.3432
0.1578 -1.0154 6.2727
2.5638 -1.0073 3.1453
1.6944 4.8466 0.0179
2.5947 2.9485 2.9474
```

***

Entry 11:
Simulated PXRD pattern of LaMoHN2 for a wavelength of 1.5418 Å, from a GGA-PBE-relaxed structure.
No peak broadening, texture or thermal motion is included.

Peak list (10 most intense, 10° ≤ 2θ ≤ 90°, in order of rising 2θ)
2θ = 31.1°, rel. 463
2θ = 32.9°, rel. 1000
2θ = 44.5°, rel. 265
2θ = 49.7°, rel. 94
2θ = 56.4°, rel. 419
2θ = 59.8°, rel. 147
2θ = 64.8°, rel. 82
2θ = 69.0°, rel. 136
2θ = 73.6°, rel. 81
2θ = 74.6°, rel. 91

```
LaMoHN2
1.0
4.0693 0.0000 0.0000
0.0000 4.0693 0.0000
0.0000 0.0000 3.6662
La Mo H N
1 1 1 2
Cartesian
0.0000 0.0000 0.0000
2.0347 2.0347 1.8331
2.0347 2.0347 0.0000
0.0000 2.0347 1.8331
2.0347 0.0000 1.8331
```

***

Entry 12:
Simulated PXRD pattern of LiNd2H6O6 for a wavelength of 1.5418 Å, from a GGA-PBE-relaxed structure.
No peak broadening, texture or thermal motion is included.

Peak list (10 most intense, 10° ≤ 2θ ≤ 90°, in order of rising 2θ)
2θ = 11.5°, rel. 1000
2θ = 16.6°, rel. 141
2θ = 18.7°, rel. 91
2θ = 25.9°, rel. 95
2θ = 26.8°, rel. 435
2θ = 28.0°, rel. 86
2θ = 28.6°, rel. 226
2θ = 32.9°, rel. 90
2θ = 42.3°, rel. 114
2θ = 47.5°, rel. 87

```
LiNd2H6O6
1.0
6.6791 0.0000 0.0000
0.0000 3.8440 0.0000
-0.9372 0.0000 7.6988
Li Nd H O
1 2 6 6
Cartesian
0.0000 0.0000 0.0000
0.8812 1.9220 3.0377
4.1860 0.0000 4.2164
0.4005 0.0000 5.2478
1.4111 1.9220 0.2288
2.5968 0.0000 1.5599
2.4871 1.9220 5.6308
3.4863 0.0000 6.9491
4.7482 1.9220 1.9547
-0.0022 0.0000 4.3454
0.5632 1.9220 0.7420
2.3393 0.0000 2.5146
2.7140 1.9220 4.6698
4.3343 0.0000 6.4521
5.0919 1.9220 2.8743
```